1.
This entry pairs a crystal structure of Ac3Tl2Au6 with its theoretical powder diffraction line list. Radiation: Cu Kα (weighted mean of Kα1 and Kα2). Structure: the GGA-PBE geometry in Alexandria.
Peak positions follow from Bragg's law for the DFT cell and can differ from measured ones.

Principal peaks in the range 2θ = 10–80°, in order of rising 2θ:
2θ/deg  d (Å)  Rel. int.
24.89  3.578  45.7
30.90  2.894  39.4
31.30  2.858  72.2
34.26  2.617  54.3
34.60  2.593  100.0
36.68  2.450  54.2
39.60  2.276  25.2
44.28  2.046  70.8
57.37  1.606  48.1
64.23  1.450  32.7

Crystal structure
Cell lengths 18.659, 18.659, 18.659 Å; angles 167.41, 167.41, 17.84 degrees
Element x y z (fractional)
Ac 0.000 0.000 0.000
Ac 0.187 0.187 0.000
Ac 0.813 0.813 0.000
Tl 0.372 0.372 0.000
Tl 0.628 0.628 0.000
Au 0.067 0.567 0.500
Au 0.274 0.274 0.000
Au 0.433 0.933 0.500
Au 0.567 0.067 0.500
Au 0.726 0.726 0.000
Au 0.933 0.433 0.500

=====

2.
This entry pairs a crystal structure of Ac4Tl3Au5 with its theoretical powder diffraction line list. Radiation: Cu Kα (weighted mean of Kα1 and Kα2). Structure: the GGA-PBE geometry in Alexandria.
Peak positions follow from Bragg's law for the DFT cell and can differ from measured ones.

Principal peaks in the range 2θ = 10–80°, in order of rising 2θ:
2θ/deg  d (Å)  Rel. int.
25.03  3.557  41.1
27.69  3.222  100.0
30.12  2.967  70.1
31.77  2.816  48.7
32.89  2.723  37.9
34.63  2.590  44.9
35.11  2.556  94.1
35.49  2.529  40.5
38.01  2.368  39.3
48.07  1.893  31.5

Crystal structure
Cell lengths 7.942, 7.942, 11.636 Å; angles 121.99, 121.99, 37.54 degrees
Element x y z (fractional)
Ac 0.033 0.033 0.332
Ac 0.260 0.260 0.737
Ac 0.740 0.740 0.263
Ac 0.967 0.967 0.668
Tl 0.000 0.000 0.000
Tl 0.323 0.323 0.076
Tl 0.677 0.677 0.924
Au 0.289 0.289 0.484
Au 0.410 0.410 0.366
Au 0.500 0.500 0.000
Au 0.590 0.590 0.634
Au 0.711 0.711 0.516

=====

3.
This entry pairs a crystal structure of AcTl3Au with its theoretical powder diffraction line list. Radiation: Cu Kα (weighted mean of Kα1 and Kα2). Structure: the GGA-PBE geometry in Alexandria.
Peak positions follow from Bragg's law for the DFT cell and can differ from measured ones.

Principal peaks in the range 2θ = 10–80°, in order of rising 2θ:
2θ/deg  d (Å)  Rel. int.
29.55  3.023  49.1
30.54  2.927  100.0
32.99  2.716  59.8
35.10  2.557  17.7
35.59  2.522  17.5
37.06  2.426  44.6
39.18  2.299  24.6
55.03  1.669  18.7
62.78  1.480  13.3
69.05  1.360  13.7

Crystal structure
Cell lengths 10.233, 4.852, 11.797 Å; angles 90.00, 90.00, 90.00 degrees
Element x y z (fractional)
Ac 0.211 0.250 0.004
Ac 0.289 0.750 0.504
Ac 0.711 0.250 0.496
Ac 0.789 0.750 0.996
Tl 0.064 0.250 0.395
Tl 0.093 0.750 0.193
Tl 0.136 0.750 0.805
Tl 0.364 0.250 0.305
Tl 0.407 0.250 0.693
Tl 0.436 0.750 0.895
Tl 0.564 0.250 0.105
Tl 0.593 0.750 0.307
Tl 0.636 0.750 0.695
Tl 0.864 0.250 0.195
Tl 0.907 0.250 0.807
Tl 0.936 0.750 0.605
Au 0.126 0.250 0.638
Au 0.374 0.750 0.138
Au 0.626 0.250 0.862
Au 0.874 0.750 0.362

=====

4.
This entry pairs a crystal structure of AcTl2Au2 with its theoretical powder diffraction line list. Radiation: Cu Kα (weighted mean of Kα1 and Kα2). Structure: the GGA-PBE geometry in Alexandria.
Peak positions follow from Bragg's law for the DFT cell and can differ from measured ones.

Principal peaks in the range 2θ = 10–80°, in order of rising 2θ:
2θ/deg  d (Å)  Rel. int.
30.30  2.950  100.0
30.57  2.924  28.3
33.94  2.642  20.5
34.66  2.588  12.0
40.44  2.230  11.3
40.62  2.221  18.4
41.08  2.197  27.4
41.31  2.186  21.9
42.95  2.106  11.2
59.67  1.550  15.1

Crystal structure
Cell lengths 5.284, 4.394, 11.911 Å; angles 90.00, 91.00, 90.00 degrees
Element x y z (fractional)
Ac 0.170 0.250 0.238
Ac 0.830 0.750 0.762
Tl 0.259 0.750 0.483
Tl 0.347 0.250 0.880
Tl 0.653 0.750 0.120
Tl 0.741 0.250 0.517
Au 0.165 0.750 0.028
Au 0.244 0.250 0.648
Au 0.756 0.750 0.352
Au 0.835 0.250 0.972

=====

5.
This entry pairs a crystal structure of Ac4TlAu2 with its theoretical powder diffraction line list. Radiation: Cu Kα (weighted mean of Kα1 and Kα2). Structure: the GGA-PBE geometry in Alexandria.
Peak positions follow from Bragg's law for the DFT cell and can differ from measured ones.

Principal peaks in the range 2θ = 10–80°, in order of rising 2θ:
2θ/deg  d (Å)  Rel. int.
19.26  4.610  16.8
22.31  3.985  16.9
23.96  3.714  37.0
27.92  3.195  18.8
30.15  2.964  18.7
33.28  2.692  100.0
34.99  2.565  56.6
49.08  1.856  32.5
59.48  1.554  19.6
60.59  1.528  31.1

Crystal structure
Cell lengths 10.700, 10.700, 10.700 Å; angles 29.14, 29.14, 29.14 degrees
Element x y z (fractional)
Ac 0.120 0.120 0.120
Ac 0.293 0.293 0.293
Ac 0.707 0.707 0.707
Ac 0.880 0.880 0.880
Tl 0.500 0.500 0.500
Au 0.397 0.397 0.397
Au 0.603 0.603 0.603

=====

6.
This entry pairs a crystal structure of Ac4Tl2Au with its theoretical powder diffraction line list. Radiation: Cu Kα (weighted mean of Kα1 and Kα2). Structure: the GGA-PBE geometry in Alexandria.
Peak positions follow from Bragg's law for the DFT cell and can differ from measured ones.

Principal peaks in the range 2θ = 10–80°, in order of rising 2θ:
2θ/deg  d (Å)  Rel. int.
26.01  3.425  23.6
26.38  3.379  27.0
26.49  3.365  45.8
26.62  3.348  100.0
28.34  3.150  25.8
31.28  2.860  38.7
31.89  2.806  30.1
32.29  2.772  99.9
42.90  2.108  44.6
43.85  2.065  32.3

Crystal structure
Cell lengths 9.694, 9.694, 7.358 Å; angles 110.89, 110.89, 24.60 degrees
Element x y z (fractional)
Ac 0.091 0.091 0.437
Ac 0.374 0.374 0.039
Ac 0.626 0.626 0.961
Ac 0.909 0.909 0.563
Tl 0.256 0.256 0.321
Tl 0.744 0.744 0.679
Au 0.000 0.000 0.000

=====

7.
This entry pairs a crystal structure of Ac6TlAu2 with its theoretical powder diffraction line list. Radiation: Cu Kα (weighted mean of Kα1 and Kα2). Structure: the GGA-PBE geometry in Alexandria.
Peak positions follow from Bragg's law for the DFT cell and can differ from measured ones.

Principal peaks in the range 2θ = 10–80°, in order of rising 2θ:
2θ/deg  d (Å)  Rel. int.
28.10  3.175  54.8
29.82  2.996  100.0
30.68  2.914  42.8
31.54  2.837  20.6
34.64  2.590  16.0
34.79  2.579  37.5
49.93  1.827  13.3
50.45  1.809  14.3
53.18  1.722  26.0
61.65  1.505  12.8

Crystal structure
Cell lengths 9.578, 9.578, 9.578 Å; angles 114.85, 109.07, 104.66 degrees
Element x y z (fractional)
Ac 0.044 0.237 0.808
Ac 0.179 0.286 0.465
Ac 0.179 0.714 0.893
Ac 0.330 0.024 0.694
Ac 0.330 0.636 0.306
Ac 0.429 0.237 0.192
Ac 0.571 0.763 0.808
Ac 0.670 0.364 0.694
Ac 0.670 0.976 0.306
Ac 0.821 0.286 0.107
Ac 0.821 0.714 0.535
Ac 0.956 0.763 0.192
Tl 0.000 0.000 0.000
Tl 0.500 0.500 0.000
Au 0.128 0.628 0.500
Au 0.340 0.000 0.340
Au 0.660 0.000 0.660
Au 0.872 0.372 0.500

=====

8.
This entry pairs a crystal structure of Ac12Tl5Au2 with its theoretical powder diffraction line list. Radiation: Cu Kα (weighted mean of Kα1 and Kα2). Structure: the GGA-PBE geometry in Alexandria.
Peak positions follow from Bragg's law for the DFT cell and can differ from measured ones.

Principal peaks in the range 2θ = 10–80°, in order of rising 2θ:
2θ/deg  d (Å)  Rel. int.
20.18  4.399  34.5
27.54  3.238  37.2
28.15  3.170  93.7
29.02  3.077  56.4
29.57  3.021  100.0
30.38  2.942  39.8
34.28  2.616  24.9
34.71  2.585  46.6
35.92  2.500  24.9
43.20  2.094  34.6

Crystal structure
Cell lengths 10.131, 10.131, 10.389 Å; angles 99.69, 99.69, 48.85 degrees
Element x y z (fractional)
Ac 0.012 0.012 0.284
Ac 0.088 0.578 0.890
Ac 0.108 0.598 0.421
Ac 0.402 0.892 0.579
Ac 0.422 0.912 0.110
Ac 0.476 0.476 0.170
Ac 0.524 0.524 0.830
Ac 0.578 0.088 0.890
Ac 0.598 0.108 0.421
Ac 0.892 0.402 0.579
Ac 0.912 0.422 0.110
Ac 0.988 0.988 0.716
Tl 0.178 0.178 0.848
Tl 0.204 0.204 0.367
Tl 0.500 0.500 0.500
Tl 0.796 0.796 0.633
Tl 0.822 0.822 0.152
Au 0.179 0.821 0.000
Au 0.821 0.179 0.000

=====

9.
This entry pairs a crystal structure of Ac2Y3Au2 with its theoretical powder diffraction line list. Radiation: Cu Kα (weighted mean of Kα1 and Kα2). Structure: the GGA-PBE geometry in Alexandria.
Peak positions follow from Bragg's law for the DFT cell and can differ from measured ones.

Principal peaks in the range 2θ = 10–80°, in order of rising 2θ:
2θ/deg  d (Å)  Rel. int.
20.73  4.284  37.9
28.09  3.177  27.3
29.62  3.016  69.9
30.55  2.927  30.0
30.77  2.906  28.4
30.95  2.890  32.4
32.49  2.756  100.0
32.56  2.750  58.1
36.96  2.432  25.1
46.73  1.944  29.6

Crystal structure
Cell lengths 6.845, 6.845, 9.607 Å; angles 115.70, 115.70, 32.99 degrees
Element x y z (fractional)
Ac 0.154 0.154 0.309
Ac 0.846 0.846 0.691
Y 0.382 0.382 0.055
Y 0.500 0.500 0.500
Y 0.618 0.618 0.945
Au 0.159 0.159 0.738
Au 0.841 0.841 0.262

=====

10.
This entry pairs a crystal structure of AcYbAu2 with its theoretical powder diffraction line list. Radiation: Cu Kα (weighted mean of Kα1 and Kα2). Structure: the GGA-PBE geometry in Alexandria.
Peak positions follow from Bragg's law for the DFT cell and can differ from measured ones.

Principal peaks in the range 2θ = 10–80°, in order of rising 2θ:
2θ/deg  d (Å)  Rel. int.
20.33  4.368  0.9
33.50  2.675  100.0
39.50  2.281  0.5
48.10  1.892  18.5
59.89  1.544  38.7
70.39  1.338  12.1

Crystal structure
Cell lengths 5.350, 5.350, 5.350 Å; angles 60.00, 60.00, 60.00 degrees
Element x y z (fractional)
Ac 0.000 0.000 0.000
Yb 0.500 0.500 0.500
Au 0.250 0.250 0.250
Au 0.750 0.750 0.750

=====

11.
This entry pairs a crystal structure of AcZn8Au2 with its theoretical powder diffraction line list. Radiation: Cu Kα (weighted mean of Kα1 and Kα2). Structure: the GGA-PBE geometry in Alexandria.
Peak positions follow from Bragg's law for the DFT cell and can differ from measured ones.

Principal peaks in the range 2θ = 10–80°, in order of rising 2θ:
2θ/deg  d (Å)  Rel. int.
19.36  4.584  22.9
25.79  3.454  89.6
37.61  2.392  34.2
38.38  2.345  23.2
39.31  2.292  100.0
45.08  2.011  16.4
49.03  1.858  29.5
56.22  1.636  21.7
63.40  1.467  17.1
63.94  1.456  17.4

Crystal structure
Cell lengths 5.255, 5.255, 9.376 Å; angles 90.00, 90.00, 90.00 degrees
Element x y z (fractional)
Ac 0.000 0.000 0.000
Zn 0.252 0.252 0.288
Zn 0.252 0.252 0.712
Zn 0.252 0.748 0.288
Zn 0.252 0.748 0.712
Zn 0.748 0.252 0.288
Zn 0.748 0.252 0.712
Zn 0.748 0.748 0.288
Zn 0.748 0.748 0.712
Au 0.000 0.500 0.500
Au 0.500 0.000 0.500

=====

12.
This entry pairs a crystal structure of Ac3Zn4Au2 with its theoretical powder diffraction line list. Radiation: Cu Kα (weighted mean of Kα1 and Kα2). Structure: the GGA-PBE geometry in Alexandria.
Peak positions follow from Bragg's law for the DFT cell and can differ from measured ones.

Principal peaks in the range 2θ = 10–80°, in order of rising 2θ:
2θ/deg  d (Å)  Rel. int.
31.14  2.873  19.9
31.34  2.854  100.0
38.15  2.359  42.7
38.50  2.339  20.9
45.26  2.004  13.1
50.42  1.810  10.7
60.49  1.531  11.8
60.78  1.524  10.7
60.89  1.522  11.1
64.70  1.441  10.7

Crystal structure
Cell lengths 6.177, 6.177, 9.142 Å; angles 108.00, 108.00, 44.49 degrees
Element x y z (fractional)
Ac 0.000 0.000 0.000
Ac 0.329 0.329 0.336
Ac 0.671 0.671 0.664
Zn 0.046 0.046 0.385
Zn 0.273 0.273 0.944
Zn 0.727 0.727 0.056
Zn 0.954 0.954 0.615
Au 0.391 0.391 0.725
Au 0.609 0.609 0.275